[1]
This entry pairs a crystal structure of MgHg6Pb with its simulated PXRD pattern. Radiation: CuKα. Structure: the GGA-PBE geometry in Alexandria.
Neutral-atom scattering factors, no anomalous dispersion.

Crystal structure
a = 5.975 Å, b = 6.171 Å, c = 6.385 Å
α = 104.70°, β = 101.41°, γ = 105.92°
Space group P-1 (No. 2)
Inequivalent atoms, fractional coordinates:
Mg 0.000 0.000 0.000 (multiplicity 1)
Hg 0.017 0.478 0.249 (multiplicity 2)
Hg 0.489 0.243 0.385 (multiplicity 2)
Hg 0.498 0.756 0.097 (multiplicity 2)
Pb 0.000 0.000 0.500 (multiplicity 1)

Largest 8 diffraction maxima, by angle, 2θ = 10–90°:
(1 -2 0), 30.42 deg, d = 2.938 Å, rel. 1000; (1 1 -2), 31.84 deg, d = 2.811 Å, rel. 852; (2 0 0), 32.54 deg, d = 2.752 Å, rel. 861; (1 -1 2), 35.09 deg, d = 2.558 Å, rel. 652; (0 1 2), 38.78 deg, d = 2.322 Å, rel. 509; (-2 1 2), 40.60 deg, d = 2.222 Å, rel. 431; (1 2 0), 40.80 deg, d = 2.211 Å, rel. 453; (0 3 -2), 48.35 deg, d = 1.882 Å, rel. 254

[2]
This entry pairs a crystal structure of Ti4GeSe5 with its simulated PXRD pattern. Radiation: CuKα. Structure: the GGA-PBE geometry in Alexandria.
Neutral-atom scattering factors, no anomalous dispersion.

Crystal structure
a = 15.789 Å, b = 3.588 Å, c = 7.421 Å
α = 90.00°, β = 101.24°, γ = 90.00°
Space group C2/m (No. 12)
Inequivalent atoms, fractional coordinates:
Ti 0.002 0.000 0.247 (multiplicity 4)
Ti 0.167 0.500 0.076 (multiplicity 4)
Ge 0.000 0.500 0.000 (multiplicity 2)
Se 0.000 0.500 0.500 (multiplicity 2)
Se 0.165 0.000 0.323 (multiplicity 4)
Se 0.168 0.000 0.821 (multiplicity 4)

Largest 8 diffraction maxima, by angle, 2θ = 10–90°:
(3 1 0), 30.31 deg, d = 2.949 Å, rel. 263; (6 0 0), 34.78 deg, d = 2.579 Å, rel. 1000; (5 1 2), 49.21 deg, d = 1.852 Å, rel. 354; (7 1 -2), 50.76 deg, d = 1.799 Å, rel. 216; (0 2 0), 50.89 deg, d = 1.794 Å, rel. 109; (6 2 0), 63.11 deg, d = 1.473 Å, rel. 111; (12 0 0), 73.42 deg, d = 1.290 Å, rel. 102; (11 1 2), 82.69 deg, d = 1.167 Å, rel. 110

[3]
This entry pairs a crystal structure of Pr12Rh5Pb with its simulated PXRD pattern. Radiation: CuKα. Structure: the GGA-PBE geometry in Alexandria.
Neutral-atom scattering factors, no anomalous dispersion.

Crystal structure
a = 9.794 Å, b = 10.061 Å, c = 10.643 Å
α = 90.00°, β = 90.00°, γ = 90.00°
Space group Immm (No. 71)
Inequivalent atoms, fractional coordinates:
Pr 0.000 0.187 0.213 (multiplicity 8)
Pr 0.192 0.500 0.174 (multiplicity 8)
Pr 0.205 0.321 0.500 (multiplicity 8)
Rh 0.000 0.000 0.000 (multiplicity 2)
Rh 0.000 0.350 0.000 (multiplicity 4)
Rh 0.000 0.500 0.368 (multiplicity 4)
Pb 0.000 0.000 0.500 (multiplicity 2)

Largest 8 diffraction maxima, by angle, 2θ = 10–90°:
(3 1 0), 28.75 deg, d = 3.105 Å, rel. 340; (2 2 2), 30.52 deg, d = 2.929 Å, rel. 955; (2 1 3), 32.41 deg, d = 2.763 Å, rel. 863; (1 3 2), 32.87 deg, d = 2.725 Å, rel. 1000; (2 3 1), 33.46 deg, d = 2.678 Å, rel. 371; (3 2 1), 33.80 deg, d = 2.652 Å, rel. 467; (4 0 0), 36.70 deg, d = 2.449 Å, rel. 296; (5 3 2), 57.14 deg, d = 1.612 Å, rel. 441